For Ti12AlPb3, the PBE geometry in Alexandria gives the theoretical PXRD pattern in this record (Cu Kα, 1.54184 Å).
Kinematic intensities with the Lorentz-polarization factor, no thermal factor.

Principal peaks in the range 10 to 90 degrees two-theta, sorted by position:
(1 0 0), 16.89°, intensity 102; (0 1 1), 18.91°, intensity 99; (1 1 0), 23.98°, intensity 619; (2 0 0), 34.17°, intensity 448; (1 2 0), 38.35°, intensity 324; (1 1 4), 42.18°, intensity 1000; (0 2 4), 49.10°, intensity 102; (0 3 2), 55.40°, intensity 98; (3 1 4), 66.66°, intensity 338; (2 3 2), 66.73°, intensity 171; (2 4 0), 82.19°, intensity 97; (2 3 6), 87.10°, intensity 128

Structural model:
Lattice parameters (Å, degrees): 5.242 5.245 10.514 90.00 90.00 90.00
Space group Pmmm (No. 47)
Inequivalent atoms, fractional coordinates:
1 Ti 0.000 0.000 0.121 (multiplicity 2)
2 Ti 0.000 0.000 0.373 (multiplicity 2)
3 Ti 0.247 0.500 0.500 (multiplicity 2)
4 Ti 0.258 0.500 0.000 (multiplicity 2)
5 Ti 0.500 0.246 0.241 (multiplicity 4)
6 Al 0.500 0.000 0.000 (multiplicity 1)
7 Pb 0.000 0.500 0.250 (multiplicity 2)
8 Pb 0.500 0.000 0.500 (multiplicity 1)